1.
For Pr2Dy6Pu, a crystal structure in Alexandria, relaxed with GGA-PBE gives the simulated powder diffractogram in this record (Cu Kα X-rays).
Kinematic intensities with the Lorentz-polarization factor, no thermal factor.

a b c (Å): 6.653 10.055 10.147
angles (deg): 60.37 84.64 79.16
Atoms (fractional coordinates):
Pr: 0.083 0.152 0.057
Pr: 0.417 0.789 0.058
Pr: 0.583 0.211 0.942
Pr: 0.917 0.848 0.943
Dy: 0.013 0.791 0.329
Dy: 0.156 0.492 0.714
Dy: 0.167 0.144 0.398
Dy: 0.334 0.457 0.399
Dy: 0.343 0.793 0.714
Dy: 0.490 0.881 0.328
Dy: 0.510 0.119 0.672
Dy: 0.657 0.207 0.286
Dy: 0.666 0.543 0.601
Dy: 0.833 0.856 0.602
Dy: 0.844 0.508 0.286
Dy: 0.987 0.209 0.671
Pu: 0.250 0.475 0.051
Pu: 0.750 0.525 0.949

Main lines, sorted by position (10 to 90 degrees two-theta):
30.40 deg, d = 2.940 Å, I 30.3, (0 0 3)
30.82 deg, d = 2.901 Å, I 66.1, (-2 1 1)
30.96 deg, d = 2.889 Å, I 33.4, (1 -1 2)
31.14 deg, d = 2.872 Å, I 100.0, (0 3 3)
31.54 deg, d = 2.837 Å, I 61.8, (2 2 2)
31.92 deg, d = 2.804 Å, I 21.5, (1 3 0)
33.42 deg, d = 2.681 Å, I 36.0, (1 0 -3)
36.22 deg, d = 2.480 Å, I 19.7, (2 2 -1)
39.91 deg, d = 2.259 Å, I 18.7, (2 -1 2)
57.61 deg, d = 1.600 Å, I 21.7, (4 1 2)

***

2.
For Y4Er2Th3, a crystal structure in Alexandria, relaxed with GGA-PBE gives the simulated powder diffractogram in this record (Cu Kα X-rays).
Kinematic intensities with the Lorentz-polarization factor, no thermal factor.

a b c (Å): 3.565 3.565 26.435
angles (deg): 90.00 90.00 120.00
Atoms (fractional coordinates):
Y: 0.000 0.000 0.000
Y: 0.000 0.000 0.219
Y: 0.333 0.667 0.329
Y: 0.333 0.667 0.551
Er: 0.000 0.000 0.658
Er: 0.000 0.000 0.875
Th: 0.000 0.000 0.440
Th: 0.333 0.667 0.107
Th: 0.333 0.667 0.769

Main lines, sorted by position (10 to 90 degrees two-theta):
10.04 deg, d = 8.812 Å, I 41.3, (0 0 3)
28.92 deg, d = 3.087 Å, I 49.6, (1 0 0)
30.43 deg, d = 2.937 Å, I 54.4, (0 0 9)
30.69 deg, d = 2.914 Å, I 23.5, (1 0 3)
32.00 deg, d = 2.797 Å, I 74.3, (1 0 4)
33.62 deg, d = 2.666 Å, I 100.0, (0 1 5)
42.48 deg, d = 2.128 Å, I 33.6, (0 1 9)
51.25 deg, d = 1.782 Å, I 40.2, (1 1 0)
57.19 deg, d = 1.611 Å, I 29.7, (0 1 14)
60.79 deg, d = 1.524 Å, I 46.1, (1 1 9)

***

Please write out number 2 again, unchanged.
For Y4Er2Th3, a crystal structure in Alexandria, relaxed with GGA-PBE gives the simulated powder diffractogram in this record (Cu Kα X-rays).
Kinematic intensities with the Lorentz-polarization factor, no thermal factor.

a b c (Å): 3.565 3.565 26.435
angles (deg): 90.00 90.00 120.00
Atoms (fractional coordinates):
Y: 0.000 0.000 0.000
Y: 0.000 0.000 0.219
Y: 0.333 0.667 0.329
Y: 0.333 0.667 0.551
Er: 0.000 0.000 0.658
Er: 0.000 0.000 0.875
Th: 0.000 0.000 0.440
Th: 0.333 0.667 0.107
Th: 0.333 0.667 0.769

Main lines, sorted by position (10 to 90 degrees two-theta):
10.04 deg, d = 8.812 Å, I 41.3, (0 0 3)
28.92 deg, d = 3.087 Å, I 49.6, (1 0 0)
30.43 deg, d = 2.937 Å, I 54.4, (0 0 9)
30.69 deg, d = 2.914 Å, I 23.5, (1 0 3)
32.00 deg, d = 2.797 Å, I 74.3, (1 0 4)
33.62 deg, d = 2.666 Å, I 100.0, (0 1 5)
42.48 deg, d = 2.128 Å, I 33.6, (0 1 9)
51.25 deg, d = 1.782 Å, I 40.2, (1 1 0)
57.19 deg, d = 1.611 Å, I 29.7, (0 1 14)
60.79 deg, d = 1.524 Å, I 46.1, (1 1 9)